(1)
Simulated powder diffractogram
Compound: Mg4InSiPd2
Radiation: CuKα
Structure: a DFT-relaxed cell (GGA-PBE, OQMD)
No peak broadening, texture or thermal motion is included.

The 12 most intense peaks (10 to 90 degrees two-theta), low angle first:
two_theta, I/Imax, (hkl)
11.84, 100, 1 0 0
14.66, 9, 1 0 2
23.80, 15, 2 0 0
30.89, 13, 0 1 1
33.18, 13, 1 1 1
35.48, 8, 1 1 3
36.04, 12, 3 0 0
37.08, 18, 1 0 8
39.36, 7, 2 1 1
41.36, 7, 2 1 3
42.78, 14, 2 0 8
48.18, 7, 3 1 1

Structural model:
abc: 7.477 2.924 20.502
angles: 90.00 90.00 90.00
Space group Amm2 (No. 38)
Inequivalent atoms, fractional coordinates:
Mg: 0.184 0.000 0.000 (multiplicity 4)
Mg: 0.209 0.000 0.634 (multiplicity 4)
In: 0.500 0.000 0.824 (multiplicity 2)
Si: 0.500 0.000 0.952 (multiplicity 2)
Pd: 0.500 0.000 0.074 (multiplicity 2)
Pd: 0.500 0.000 0.699 (multiplicity 2)

***

(2)
Simulated powder diffractogram
Compound: TmMgIn4Pd2
Radiation: CuKα
Structure: a DFT-relaxed cell (GGA-PBE, OQMD)
No peak broadening, texture or thermal motion is included.

The 12 most intense peaks (10 to 90 degrees two-theta), low angle first:
two_theta, I/Imax, (hkl)
11.33, 22, 1 0 0
17.37, 19, 0 0 2
32.04, 100, 2 1 1
33.44, 27, 0 1 3
35.41, 65, 1 1 3
37.05, 25, 1 0 4
38.84, 26, 3 0 2
40.84, 42, 2 1 3
41.39, 43, 3 1 1
41.55, 43, 0 2 0
42.30, 25, 2 0 4
67.76, 19, 0 1 7

Structural model:
abc: 7.809 4.347 10.210
angles: 90.00 90.00 90.00
Space group Amm2 (No. 38)
Inequivalent atoms, fractional coordinates:
Tm: 0.000 0.000 0.000 (multiplicity 2)
Mg: 0.500 0.000 0.866 (multiplicity 2)
In: 0.204 0.000 0.293 (multiplicity 4)
In: 0.303 0.000 0.571 (multiplicity 4)
Pd: 0.000 0.000 0.712 (multiplicity 2)
Pd: 0.500 0.000 0.145 (multiplicity 2)

***

(3)
Simulated powder diffractogram
Compound: Pr3Mg3InPt2
Radiation: CuKα
Structure: a DFT-relaxed cell (GGA-PBE, OQMD)
No peak broadening, texture or thermal motion is included.

The 12 most intense peaks (10 to 90 degrees two-theta), low angle first:
two_theta, I/Imax, (hkl)
13.42, 28, 1 0 0
23.35, 39, 1 1 0
24.41, 16, 1 0 1
31.13, 76, 1 1 1
34.03, 100, 2 0 1
36.01, 17, 2 1 0
41.04, 27, 3 0 0
41.27, 24, 0 0 2
41.69, 24, 2 1 1
47.75, 17, 2 2 0
59.61, 18, 3 0 2
65.22, 18, 3 2 1

Structural model:
abc: 7.6194 7.6194 4.3747
angles: 90.00 90.00 120.00
Space group P-62m (No. 189)
Inequivalent atoms, fractional coordinates:
Pr: 0.0000 0.4266 0.0000 (multiplicity 3)
Mg: 0.0000 0.7460 0.5000 (multiplicity 3)
In: 0.0000 0.0000 0.0000 (multiplicity 1)
Pt: 0.3333 0.6667 0.5000 (multiplicity 2)